# RbDy4YS8
Simulated X-ray diffraction stick pattern, Cu Ka. Input: a DFT-relaxed cell (PBE, Alexandria).
Lines closer than 0.1° are merged.

Structure:
```
data_RbDy4YS8
_space_group_name_H-M_alt 'R 3 m'
_space_group_IT_number 160
_space_group_name_Hall 'R 3 -2"'
_cell_length_a 8.2677
_cell_length_b 8.2677
_cell_length_c 20.2989
_cell_angle_alpha 90.00
_cell_angle_beta 90.00
_cell_angle_gamma 120.00
loop_
_atom_site_label
_atom_site_fract_x
_atom_site_fract_y
_atom_site_fract_z
_atom_site_occupancy
Rb1 0.0000 0.0000 0.0000 1
Dy1 0.0000 0.0000 0.7490 1
Dy2 0.0121 0.5060 0.8758 1
Y1 0.0000 0.0000 0.3695 1
S1 0.0000 0.0000 0.1435 1
S2 0.0000 0.0000 0.6171 1
S3 0.0190 0.5095 0.1265 1
S4 0.1916 0.3832 0.9509 1
```

The 6 most intense peaks (2θ = 10–90°), sorted by position:
2θ (°), d/Å, I/Imax
13.10, 6.761, 19
21.47, 4.139, 26
25.25, 3.528, 100
30.56, 2.925, 25
40.03, 2.252, 50
43.76, 2.069, 60


# ErTm2Sc3
Simulated X-ray diffraction stick pattern, Cu Ka. Input: a DFT-relaxed cell (PBE, Alexandria).
Lines closer than 0.1° are merged.

Structure:
```
data_ErTm2Sc3
_space_group_name_H-M_alt 'P 1 21/m 1'
_space_group_IT_number 11
_cell_length_a 5.911
_cell_length_b 3.411
_cell_length_c 16.400
_cell_angle_alpha 90.00
_cell_angle_beta 96.91
_cell_angle_gamma 90.00
loop_
_space_group_symop_operation_xyz
'x,y,z'
'-x,-y,-z'
'-x,y+1/2,-z'
'x,-y+1/2,z'
loop_
_atom_site_label
_atom_site_fract_x
_atom_site_fract_y
_atom_site_fract_z
_atom_site_occupancy
Er1 0.028 0.250 0.333 1
Tm1 0.250 0.250 0.000 1
Tm2 0.472 0.250 0.666 1
Sc1 0.139 0.750 0.167 1
Sc2 0.250 0.750 0.500 1
Sc3 0.361 0.750 0.832 1
```

The 6 most intense peaks (2θ = 10–90°), sorted by position:
2θ (°), d/Å, I/Imax
16.33, 5.427, 98
31.14, 2.872, 71
31.64, 2.828, 100
33.01, 2.713, 56
38.77, 2.323, 57
64.52, 1.444, 50


# Cs2TmHgF6
Simulated X-ray diffraction stick pattern, Cu Ka. Input: a DFT-relaxed cell (PBE, Alexandria).
Lines closer than 0.1° are merged.

Structure:
```
data_Cs2TmHgF6
_space_group_name_H-M_alt 'P m m n'
_space_group_IT_number 59
_cell_length_a 6.759
_cell_length_b 9.565
_cell_length_c 6.770
_cell_angle_alpha 90.00
_cell_angle_beta 90.00
_cell_angle_gamma 90.00
loop_
_space_group_symop_operation_xyz
'x,y,z'
'-x,-y,-z'
'-x+1/2,-y+1/2,z'
'x+1/2,y+1/2,-z'
'x+1/2,-y,-z'
'-x+1/2,y,z'
'-x,y+1/2,-z'
'x,-y+1/2,z'
loop_
_atom_site_label
_atom_site_fract_x
_atom_site_fract_y
_atom_site_fract_z
_atom_site_occupancy
Cs1 0.250 0.000 0.250 1
Tm1 0.250 0.250 0.749 1
Hg1 0.250 0.750 0.751 1
F1 0.025 0.250 0.525 1
F2 0.025 0.250 0.973 1
F3 0.250 0.026 0.748 1
```

The 6 most intense peaks (2θ = 10–90°), sorted by position:
2θ (°), d/Å, I/Imax
26.35, 3.382, 100
37.61, 2.392, 31
46.51, 1.953, 43
54.24, 1.691, 20
61.29, 1.513, 20
74.17, 1.278, 19


# Na4LiTe5
Simulated X-ray diffraction stick pattern, Cu Ka. Input: a DFT-relaxed cell (PBE, Alexandria).
Lines closer than 0.1° are merged.

Structure:
```
data_Na4LiTe5
_space_group_name_H-M_alt 'C 1 2 1'
_space_group_IT_number 5
_cell_length_a 10.802
_cell_length_b 6.729
_cell_length_c 8.326
_cell_angle_alpha 90.00
_cell_angle_beta 108.29
_cell_angle_gamma 90.00
loop_
_space_group_symop_operation_xyz
'x,y,z'
'-x,y,-z'
'x+1/2,y+1/2,z'
'-x+1/2,y+1/2,-z'
loop_
_atom_site_label
_atom_site_fract_x
_atom_site_fract_y
_atom_site_fract_z
_atom_site_occupancy
Na1 0.106 0.000 0.395 1
Na2 0.193 0.354 0.804 1
Li1 0.000 0.552 0.000 1
Te1 0.000 0.974 0.000 1
Te2 0.098 0.485 0.372 1
Te3 0.202 0.881 0.797 1
```

The 6 most intense peaks (2θ = 10–90°), sorted by position:
2θ (°), d/Å, I/Imax
20.90, 4.251, 100
26.49, 3.364, 37
31.66, 2.826, 34
32.66, 2.742, 33
32.98, 2.716, 31
33.18, 2.700, 33


# CaEr2Cd8
Simulated X-ray diffraction stick pattern, Cu Ka. Input: a DFT-relaxed cell (PBE, Alexandria).
Lines closer than 0.1° are merged.

Structure:
```
data_CaEr2Cd8
_space_group_name_H-M_alt 'C 1 2/m 1'
_space_group_IT_number 12
_cell_length_a 8.264
_cell_length_b 15.961
_cell_length_c 5.367
_cell_angle_alpha 90.00
_cell_angle_beta 130.12
_cell_angle_gamma 90.00
loop_
_space_group_symop_operation_xyz
'x,y,z'
'-x,-y,-z'
'-x,y,-z'
'x,-y,z'
'x+1/2,y+1/2,z'
'-x+1/2,-y+1/2,-z'
'-x+1/2,y+1/2,-z'
'x+1/2,-y+1/2,z'
loop_
_atom_site_label
_atom_site_fract_x
_atom_site_fract_y
_atom_site_fract_z
_atom_site_occupancy
Ca1 0.000 0.000 0.000 1
Er1 0.000 0.312 0.500 1
Cd1 0.000 0.202 0.000 1
Cd2 0.002 0.500 0.254 1
Cd3 0.234 0.133 0.737 1
```

The 6 most intense peaks (2θ = 10–90°), sorted by position:
2θ (°), d/Å, I/Imax
32.64, 2.744, 100
33.43, 2.680, 90
35.28, 2.544, 53
36.26, 2.477, 72
36.99, 2.430, 76
37.18, 2.418, 70


# Na12TlAu6
Simulated X-ray diffraction stick pattern, Cu Ka. Input: a DFT-relaxed cell (PBE, Alexandria).
Lines closer than 0.1° are merged.

Structure:
```
data_Na12TlAu6
_space_group_name_H-M_alt 'R -3'
_space_group_IT_number 148
_space_group_name_Hall '-R 3'
_cell_length_a 12.6329
_cell_length_b 12.6329
_cell_length_c 11.0500
_cell_angle_alpha 90.00
_cell_angle_beta 90.00
_cell_angle_gamma 120.00
loop_
_atom_site_label
_atom_site_fract_x
_atom_site_fract_y
_atom_site_fract_z
_atom_site_occupancy
Na1 0.0382 0.4489 0.1471 1
Na2 0.0919 0.8974 0.7550 1
Tl1 0.0000 0.0000 0.5000 1
Au1 0.0292 0.2328 0.0204 1
```

The 6 most intense peaks (2θ = 10–90°), sorted by position:
2θ (°), d/Å, I/Imax
17.99, 4.932, 86
18.10, 4.902, 47
22.96, 3.874, 100
33.72, 2.658, 53
36.67, 2.451, 48
37.68, 2.387, 57


# Y4Bi2N
Simulated X-ray diffraction stick pattern, Cu Ka. Input: a DFT-relaxed cell (PBE, Alexandria).
Lines closer than 0.1° are merged.

Structure:
```
data_Y4Bi2N
_space_group_name_H-M_alt 'I 4/m m m'
_space_group_IT_number 139
_space_group_name_Hall '-I 4 2'
_cell_length_a 4.701
_cell_length_b 4.701
_cell_length_c 16.370
_cell_angle_alpha 90.00
_cell_angle_beta 90.00
_cell_angle_gamma 90.00
loop_
_atom_site_label
_atom_site_fract_x
_atom_site_fract_y
_atom_site_fract_z
_atom_site_occupancy
Y1 0.000 0.000 0.160 1
Y2 0.000 0.500 0.000 1
Bi1 0.000 0.000 0.355 1
N1 0.000 0.000 0.000 1
```

The 6 most intense peaks (2θ = 10–90°), sorted by position:
2θ (°), d/Å, I/Imax
26.82, 3.324, 42
28.99, 3.080, 47
34.77, 2.580, 100
38.29, 2.351, 57
51.30, 1.781, 33
66.97, 1.397, 30


# AcRh4C
Simulated X-ray diffraction stick pattern, Cu Ka. Input: a DFT-relaxed cell (PBE, Alexandria).
Lines closer than 0.1° are merged.

Structure:
```
data_AcRh4C
_space_group_name_H-M_alt 'P 4/m m m'
_space_group_IT_number 123
_space_group_name_Hall '-P 4 2'
_cell_length_a 4.084
_cell_length_b 4.084
_cell_length_c 6.128
_cell_angle_alpha 90.00
_cell_angle_beta 90.00
_cell_angle_gamma 90.00
loop_
_atom_site_label
_atom_site_fract_x
_atom_site_fract_y
_atom_site_fract_z
_atom_site_occupancy
Ac1 0.000 0.000 0.000 1
Rh1 0.000 0.500 0.500 1
Rh2 0.500 0.500 0.201 1
C1 0.000 0.000 0.500 1
```

The 6 most intense peaks (2θ = 10–90°), sorted by position:
2θ (°), d/Å, I/Imax
34.33, 2.612, 100
36.67, 2.451, 58
44.37, 2.042, 46
49.92, 1.827, 21
58.87, 1.569, 29
75.19, 1.264, 21